(1)
Diffraction record for DyErZnCd. The X-ray diffraction stick pattern is theoretical, not measured: it uses a crystal structure in Alexandria, relaxed with PBE and Cu Kα (λ = 1.5418 Å).
No peak broadening, texture or thermal motion is included.

Structural model:
Unit cell a=3.5766 b=3.5766 c=7.5353 alpha=90.00 beta=90.00 gamma=90.00
Space group P4mm (No. 99)
Unique sites:
Dy  0.0000  0.0000  0.0000 (multiplicity 1)
Er  0.0000  0.0000  0.4605 (multiplicity 1)
Zn  0.5000  0.5000  0.2348 (multiplicity 1)
Cd  0.5000  0.5000  0.7264 (multiplicity 1)

Peak list (12 most intense, 2θ from 10° to 90°, in order of rising 2θ)
Position (°2θ)	d (Å)	intensity	index
24.90	3.577	9	1 0 0
34.58	2.594	100	1 0 2
35.50	2.529	48	1 1 0
48.31	1.884	9	0 0 4
51.07	1.788	17	2 0 0
61.37	1.511	16	1 1 4
63.15	1.472	34	2 1 2
72.94	1.297	10	2 0 4
75.13	1.265	5	2 2 0
81.17	1.185	6	1 0 6
85.41	1.137	7	3 0 2
85.94	1.131	8	3 1 0


(2)
Diffraction record for Li2CrNi6. The X-ray diffraction stick pattern is theoretical, not measured: it uses a crystal structure in Alexandria, relaxed with PBE and Cu Kα (λ = 1.5418 Å).
No peak broadening, texture or thermal motion is included.

Structural model:
Unit cell a=8.8661 b=10.1707 c=4.5683 alpha=90.00 beta=94.46 gamma=90.00
Space group C2/c (No. 15)
Unique sites:
Li  0.1338  0.0187  0.3880 (multiplicity 8)
Cr  0.0000  0.4044  0.2500 (multiplicity 4)
Ni  0.0174  0.2102  0.9975 (multiplicity 8)
Ni  0.1390  0.4064  0.7793 (multiplicity 8)
Ni  0.2404  0.3104  0.2682 (multiplicity 8)

Peak list (12 most intense, 2θ from 10° to 90°, in order of rising 2θ)
Position (°2θ)	d (Å)	intensity	index
13.27	6.672	100	1 1 0
17.44	5.085	72	0 2 0
40.62	2.221	50	0 4 1
41.13	2.195	30	1 1 -2
44.26	2.046	30	3 3 -1
44.71	2.027	40	4 2 0
45.77	1.982	45	1 5 0
46.25	1.963	27	2 0 2
46.47	1.954	46	2 4 1
46.97	1.934	36	2 2 -2
47.80	1.903	48	4 2 -1
50.58	1.804	24	4 2 1


(3)
Diffraction record for Ba4MoRh. The X-ray diffraction stick pattern is theoretical, not measured: it uses a crystal structure in Alexandria, relaxed with PBE and Cu Kα (λ = 1.5418 Å).
No peak broadening, texture or thermal motion is included.

Structural model:
Unit cell a=9.7252 b=9.7252 c=9.7252 alpha=90.00 beta=90.00 gamma=90.00
Space group F-43m (No. 216)
Unique sites:
Ba  0.1244  0.1244  0.3756 (multiplicity 16)
Mo  0.0000  0.0000  0.0000 (multiplicity 4)
Rh  0.2500  0.2500  0.7500 (multiplicity 4)

Peak list (12 most intense, 2θ from 10° to 90°, in order of rising 2θ)
Position (°2θ)	d (Å)	intensity	index
15.78	5.615	13	1 1 1
25.91	3.438	19	2 2 0
30.49	2.932	100	3 1 1
31.88	2.807	49	2 2 2
36.97	2.431	9	4 0 0
48.65	1.872	36	5 1 1
53.28	1.719	33	4 4 0
62.64	1.483	12	5 3 3
63.45	1.466	20	6 2 2
75.02	1.266	22	7 3 1
86.71	1.123	12	5 5 5
87.43	1.116	9	6 6 2